Diffraction record for V6C5. The X-ray diffraction stick pattern is computed, not measured: it uses a structure optimized by DFT (PBE) and Cu Kα (λ = 1.5418 Å).
Intensities are scaled so that the largest is 100.

Main lines, most intense first (2θ from 15° to 90°):
| 2θ/deg | intensity |
| --- | --- |
| 43.49 | 100.0 |
| 37.39 | 80.6 |
| 63.32 | 27.3 |
| 37.56 | 27.3 |
| 63.08 | 26.1 |
| 75.79 | 15.2 |
| 79.74 | 11.6 |
| 76.01 | 8.6 |

Crystal structure
```
33
Lattice="5.105 0.000 0.000 -2.553 4.421 0.000 0.000 0.000 14.367" Properties=species:S:1:pos:R:3 pbc="T T T"
V -0.072 0.865 6.014
V -1.839 3.927 8.354
V -0.914 2.347 10.874
V -0.977 2.456 3.493
V 0.072 0.865 13.143
V -1.767 4.051 1.225
V 1.769 0.860 3.574
V 1.630 1.102 10.793
V 0.914 2.347 8.282
V -0.063 4.039 6.085
V 0.977 2.456 1.296
V 0.063 4.039 13.071
V 3.336 0.860 1.215
V 2.413 2.459 13.152
V 1.839 3.927 10.803
V 1.767 4.051 3.565
V 3.475 1.102 8.363
V 2.692 2.459 6.004
C 0.000 0.995 9.578
C -1.691 3.924 4.789
C 0.000 1.007 2.395
C -1.680 3.917 11.973
C -0.825 2.471 7.184
C 0.825 2.471 11.973
C 0.000 3.900 2.395
C 1.694 0.978 0.000
C 1.703 0.983 7.184
C 1.680 3.917 7.184
C 1.691 3.924 0.000
C 3.402 0.983 11.973
C 2.553 2.455 2.395
C 3.411 0.978 4.789
C 2.553 2.465 9.578
```